Diffraction record for Al17Mo4. The powder XRD pattern is computed, not measured: it uses a cell relaxed with GGA-PBE and a wavelength of 1.5418 Å.

Structural model:
a b c (Å): 9.181 4.937 28.948
angles (deg): 90.00 96.66 90.00
Space group C2 (No. 5)
Unique sites:
1 Al 0.000 0.000 0.000
2 Al 0.000 0.383 0.500
3 Al 0.032 0.516 0.951
4 Al 0.032 0.866 0.450
5 Al 0.061 0.017 0.906
6 Al 0.061 0.364 0.406
7 Al 0.098 0.503 0.856
8 Al 0.098 0.877 0.356
9 Al 0.126 0.026 0.804
10 Al 0.126 0.351 0.303
11 Al 0.127 0.551 0.757
12 Al 0.127 0.827 0.257
13 Al 0.131 0.536 0.664
14 Al 0.131 0.843 0.164
15 Al 0.183 0.028 0.620
16 Al 0.183 0.350 0.120
17 Al 0.226 0.036 0.523
18 Al 0.226 0.345 0.023
19 Mo 0.112 0.049 0.710
20 Mo 0.112 0.330 0.209
21 Mo 0.204 0.536 0.570
22 Mo 0.204 0.843 0.070

Most intense lines, 10 to 90 degrees two-theta, by angle:
2θ (°)	intensity	hkl
21.09	44	2 0 2
22.00	53	1 1 -3
36.52	67	1 1 -10
40.79	52	4 0 2
41.29	94	1 1 11
41.91	100	2 2 1
42.73	84	3 1 -9
65.57	29	1 3 -10

Diffraction record for PrYNO. The powder XRD pattern is computed, not measured: it uses a cell relaxed with GGA-PBE and a wavelength of 1.5418 Å.

Structural model:
a b c (Å): 8.257 6.817 5.069
angles (deg): 90.00 90.00 90.00
Space group Pbcm (No. 57)
Unique sites:
1 Pr 0.126 0.069 0.250
2 Y 0.379 0.585 0.250
3 N 0.384 0.580 0.750
4 O 0.145 0.085 0.750

Most intense lines, 10 to 90 degrees two-theta, by angle:
2θ (°)	intensity	hkl
25.22	39	2 1 0
26.15	27	0 2 0
30.86	100	2 1 1
31.63	38	0 2 1
35.41	37	0 0 2
43.86	19	4 0 0
45.57	34	2 3 0
59.00	30	2 3 2

Diffraction record for GdErCo2I2. The powder XRD pattern is computed, not measured: it uses a cell relaxed with GGA-PBE and a wavelength of 1.5418 Å.

Structural model:
a b c (Å): 3.9697 3.9697 12.2530
angles (deg): 90.00 90.00 120.00
Space group P3m1 (No. 156)
Unique sites:
1 Gd 0.0000 0.0000 0.0000
2 Er 0.0000 0.0000 0.7035
3 Co 0.3333 0.6667 0.8457
4 Co 0.6667 0.3333 0.8525
5 I 0.3333 0.6667 0.1774
6 I 0.6667 0.3333 0.5287

Most intense lines, 10 to 90 degrees two-theta, by angle:
2θ (°)	intensity	hkl
26.94	55	0 1 1
29.80	23	0 1 2
34.09	100	0 1 3
39.40	35	1 0 4
45.71	44	1 1 0
58.23	21	2 0 3
65.59	22	1 1 6
77.01	19	1 2 3

Diffraction record for LuHfFeSi2. The powder XRD pattern is computed, not measured: it uses a cell relaxed with GGA-PBE and a wavelength of 1.5418 Å.

Structural model:
a b c (Å): 9.991 3.960 9.592
angles (deg): 90.00 118.50 90.00
Space group C2/m (No. 12)
Unique sites:
1 Lu 0.189 0.000 0.106
2 Hf 0.003 0.000 0.331
3 Fe 0.229 0.500 0.380
4 Si 0.007 0.500 0.867
5 Si 0.145 0.500 0.568

Most intense lines, 10 to 90 degrees two-theta, by angle:
2θ (°)	intensity	hkl
24.66	63	1 1 0
28.39	45	2 0 -3
35.44	50	3 1 -1
35.81	100	1 1 2
36.46	60	1 1 -3
39.39	37	3 1 -3
43.72	32	3 1 1
45.83	40	0 2 0

Copy entry 1 word for word.
Diffraction record for Al17Mo4. The powder XRD pattern is computed, not measured: it uses a cell relaxed with GGA-PBE and a wavelength of 1.5418 Å.

Structural model:
a b c (Å): 9.181 4.937 28.948
angles (deg): 90.00 96.66 90.00
Space group C2 (No. 5)
Unique sites:
1 Al 0.000 0.000 0.000
2 Al 0.000 0.383 0.500
3 Al 0.032 0.516 0.951
4 Al 0.032 0.866 0.450
5 Al 0.061 0.017 0.906
6 Al 0.061 0.364 0.406
7 Al 0.098 0.503 0.856
8 Al 0.098 0.877 0.356
9 Al 0.126 0.026 0.804
10 Al 0.126 0.351 0.303
11 Al 0.127 0.551 0.757
12 Al 0.127 0.827 0.257
13 Al 0.131 0.536 0.664
14 Al 0.131 0.843 0.164
15 Al 0.183 0.028 0.620
16 Al 0.183 0.350 0.120
17 Al 0.226 0.036 0.523
18 Al 0.226 0.345 0.023
19 Mo 0.112 0.049 0.710
20 Mo 0.112 0.330 0.209
21 Mo 0.204 0.536 0.570
22 Mo 0.204 0.843 0.070

Most intense lines, 10 to 90 degrees two-theta, by angle:
2θ (°)	intensity	hkl
21.09	44	2 0 2
22.00	53	1 1 -3
36.52	67	1 1 -10
40.79	52	4 0 2
41.29	94	1 1 11
41.91	100	2 2 1
42.73	84	3 1 -9
65.57	29	1 3 -10

Question: What is the formula in the fourth record?
Answer: LuHfFeSi2